# 1
This entry pairs a crystal structure of CsNpCl2O3 with its theoretical PXRD pattern. Radiation: a wavelength of 1.5418 Å. Structure: a cell relaxed with GGA-PBE.
Intensities are scaled so that the largest is 100.

Principal peaks in the range 2θ from 15° to 90°, in order of rising 2θ:
2θ = 15.5°, I 43; 2θ = 18.6°, I 59; 2θ = 21.9°, I 74; 2θ = 22.1°, I 60; 2θ = 23.5°, I 84; 2θ = 23.6°, I 100; 2θ = 28.4°, I 26; 2θ = 34.7°, I 55; 2θ = 35.0°, I 27; 2θ = 44.5°, I 26

Structure:
Cell lengths 7.585, 8.703, 13.631 Å; angles 90.00, 123.05, 90.00 degrees
Fractional coordinates of all 28 atoms:
Cs: 0.098 0.113 0.347
Cs: 0.098 0.387 0.847
Cs: 0.902 0.613 0.153
Cs: 0.902 0.887 0.653
Np: 0.417 0.593 0.673
Np: 0.417 0.907 0.173
Np: 0.583 0.093 0.827
Np: 0.583 0.407 0.327
Cl: 0.305 0.221 0.127
Cl: 0.305 0.279 0.627
Cl: 0.369 0.591 0.112
Cl: 0.369 0.909 0.612
Cl: 0.631 0.091 0.388
Cl: 0.631 0.409 0.888
Cl: 0.695 0.721 0.373
Cl: 0.695 0.779 0.873
O: 0.219 0.620 0.708
O: 0.219 0.880 0.208
O: 0.235 0.589 0.511
O: 0.235 0.911 0.011
O: 0.347 0.069 0.828
O: 0.347 0.431 0.328
O: 0.653 0.569 0.672
O: 0.653 0.931 0.172
O: 0.765 0.089 0.989
O: 0.765 0.411 0.489
O: 0.781 0.120 0.792
O: 0.781 0.380 0.292

# 2
This entry pairs a crystal structure of Cs3Cl5O with its theoretical PXRD pattern. Radiation: a wavelength of 1.5418 Å. Structure: a cell relaxed with GGA-PBE.
Intensities are scaled so that the largest is 100.

Principal peaks in the range 2θ from 15° to 90°, in order of rising 2θ:
2θ = 17.1°, I 20; 2θ = 21.4°, I 100; 2θ = 25.8°, I 34; 2θ = 29.3°, I 49; 2θ = 29.9°, I 68; 2θ = 31.1°, I 43; 2θ = 37.1°, I 37; 2θ = 39.9°, I 29; 2θ = 43.0°, I 17; 2θ = 48.3°, I 22

Structure:
Cell lengths 10.354, 10.354, 6.912 Å; angles 90.00, 90.00, 120.00 degrees
Fractional coordinates of all 18 atoms:
Cs: 0.012 0.370 0.000
Cs: 0.358 0.988 0.000
Cs: 0.370 0.358 0.500
Cs: 0.630 0.642 0.000
Cs: 0.642 0.012 0.500
Cs: 0.988 0.630 0.500
Cl: 0.006 0.239 0.510
Cl: 0.233 0.994 0.510
Cl: 0.239 0.233 0.010
Cl: 0.333 0.667 0.306
Cl: 0.333 0.667 0.691
Cl: 0.667 0.333 0.191
Cl: 0.667 0.333 0.806
Cl: 0.761 0.767 0.510
Cl: 0.767 0.006 0.010
Cl: 0.994 0.761 0.010
O: 0.000 0.000 0.104
O: 0.000 0.000 0.604

# 3
This entry pairs a crystal structure of CsReCl4O2 with its theoretical PXRD pattern. Radiation: a wavelength of 1.5418 Å. Structure: a cell relaxed with GGA-PBE.
Intensities are scaled so that the largest is 100.

Principal peaks in the range 2θ from 15° to 90°, in order of rising 2θ:
2θ = 15.3°, I 60; 2θ = 16.4°, I 38; 2θ = 17.9°, I 30; 2θ = 19.6°, I 65; 2θ = 20.9°, I 100; 2θ = 22.1°, I 34; 2θ = 22.2°, I 51; 2θ = 27.3°, I 51; 2θ = 28.7°, I 41; 2θ = 33.1°, I 32

Structure:
Cell lengths 6.861, 10.824, 12.278 Å; angles 90.00, 90.89, 90.00 degrees
Fractional coordinates of all 32 atoms:
Cs: 0.186 0.113 0.149
Cs: 0.186 0.387 0.649
Cs: 0.814 0.613 0.351
Cs: 0.814 0.887 0.851
Re: 0.320 0.692 0.053
Re: 0.320 0.808 0.553
Re: 0.680 0.192 0.447
Re: 0.680 0.308 0.947
Cl: 0.009 0.714 0.618
Cl: 0.009 0.786 0.118
Cl: 0.126 0.607 0.915
Cl: 0.126 0.893 0.415
Cl: 0.313 0.616 0.438
Cl: 0.313 0.884 0.938
Cl: 0.470 0.681 0.684
Cl: 0.470 0.819 0.184
Cl: 0.530 0.181 0.816
Cl: 0.530 0.319 0.316
Cl: 0.687 0.116 0.062
Cl: 0.687 0.384 0.562
Cl: 0.874 0.107 0.585
Cl: 0.874 0.393 0.085
Cl: 0.991 0.214 0.882
Cl: 0.991 0.286 0.382
O: 0.285 0.572 0.143
O: 0.285 0.928 0.643
O: 0.462 0.155 0.508
O: 0.462 0.345 0.008
O: 0.538 0.655 0.992
O: 0.538 0.845 0.492
O: 0.715 0.072 0.357
O: 0.715 0.428 0.857

# 4
This entry pairs a crystal structure of Cs2RhCl5O with its theoretical PXRD pattern. Radiation: a wavelength of 1.5418 Å. Structure: a cell relaxed with GGA-PBE.
Intensities are scaled so that the largest is 100.

Principal peaks in the range 2θ from 15° to 90°, in order of rising 2θ:
2θ = 19.3°, I 29; 2θ = 21.0°, I 36; 2θ = 22.0°, I 100; 2θ = 24.0°, I 22; 2θ = 29.3°, I 30; 2θ = 31.6°, I 28; 2θ = 32.1°, I 78; 2θ = 37.4°, I 24; 2θ = 41.1°, I 25; 2θ = 53.1°, I 20

Structure:
Cell lengths 9.525, 9.525, 8.455 Å; angles 90.00, 90.00, 134.21 degrees
Fractional coordinates of all 18 atoms:
Cs: 0.030 0.970 0.750
Cs: 0.257 0.743 0.250
Cs: 0.743 0.257 0.750
Cs: 0.970 0.030 0.250
Rh: 0.392 0.608 0.750
Rh: 0.608 0.392 0.250
Cl: 0.161 0.386 0.550
Cl: 0.161 0.386 0.950
Cl: 0.254 0.746 0.750
Cl: 0.386 0.161 0.050
Cl: 0.386 0.161 0.450
Cl: 0.614 0.839 0.550
Cl: 0.614 0.839 0.950
Cl: 0.746 0.254 0.250
Cl: 0.839 0.614 0.050
Cl: 0.839 0.614 0.450
O: 0.494 0.506 0.750
O: 0.506 0.494 0.250

# 5
This entry pairs a crystal structure of Cs2TmCl5O with its theoretical PXRD pattern. Radiation: a wavelength of 1.5418 Å. Structure: a cell relaxed with GGA-PBE.
Intensities are scaled so that the largest is 100.

Principal peaks in the range 2θ from 15° to 90°, in order of rising 2θ:
2θ = 23.0°, I 100; 2θ = 24.6°, I 31; 2θ = 26.5°, I 30; 2θ = 26.8°, I 24; 2θ = 27.9°, I 36; 2θ = 28.7°, I 22; 2θ = 32.3°, I 43; 2θ = 33.2°, I 28; 2θ = 42.3°, I 28; 2θ = 42.5°, I 21

Structure:
Cell lengths 14.499, 11.102, 8.106 Å; angles 90.00, 90.00, 90.00 degrees
Fractional coordinates of all 36 atoms:
Cs: 0.139 0.007 0.165
Cs: 0.139 0.493 0.165
Cs: 0.361 0.507 0.665
Cs: 0.361 0.993 0.665
Cs: 0.639 0.007 0.335
Cs: 0.639 0.493 0.335
Cs: 0.861 0.507 0.835
Cs: 0.861 0.993 0.835
Tm: 0.114 0.250 0.721
Tm: 0.386 0.750 0.221
Tm: 0.614 0.250 0.779
Tm: 0.886 0.750 0.279
Cl: 0.003 0.750 0.040
Cl: 0.099 0.020 0.686
Cl: 0.099 0.480 0.686
Cl: 0.204 0.250 0.426
Cl: 0.235 0.750 0.387
Cl: 0.265 0.250 0.887
Cl: 0.296 0.750 0.926
Cl: 0.401 0.520 0.186
Cl: 0.401 0.980 0.186
Cl: 0.497 0.250 0.540
Cl: 0.503 0.750 0.460
Cl: 0.599 0.020 0.814
Cl: 0.599 0.480 0.814
Cl: 0.704 0.250 0.074
Cl: 0.735 0.750 0.113
Cl: 0.765 0.250 0.613
Cl: 0.796 0.750 0.574
Cl: 0.901 0.520 0.314
Cl: 0.901 0.980 0.314
Cl: 0.997 0.250 0.960
O: 0.040 0.250 0.478
O: 0.460 0.750 0.978
O: 0.540 0.250 0.022
O: 0.960 0.750 0.522